Starting from a crystal structure in the Materials Project, relaxed with PBE+U, the PXRD pattern of MnF3 was computed for Cu Ka.
No peak broadening, texture or thermal motion is included.

The 10 most intense peaks (2θ = 10–80°), sorted by position:
20.7°, 4.288 Å, rel. 51
28.2°, 3.166 Å, rel. 100
36.3°, 2.476 Å, rel. 8
41.2°, 2.190 Å, rel. 33
44.0°, 2.059 Å, rel. 7
46.6°, 1.950 Å, rel. 22
53.8°, 1.704 Å, rel. 41
60.4°, 1.532 Å, rel. 20
63.3°, 1.470 Å, rel. 8
65.3°, 1.429 Å, rel. 17

Structure:
```
24
Lattice="8.5766 0.0000 0.0000 -4.2883 7.4275 0.0000 0.0000 0.0000 4.6951" Properties=species:S:1:pos:R:3 pbc="T T T"
Mn -1.4156 2.4520 0.0000
Mn -2.8434 4.9248 2.3476
Mn 2.8313 0.0000 0.0000
Mn 1.4449 2.5027 2.3476
Mn 5.6867 0.0000 2.3476
Mn 2.8727 4.9756 0.0000
F -1.5545 4.1169 1.2175
F -2.7680 6.4907 1.2351
F 0.0512 1.7851 1.2351
F -0.1034 3.1829 3.6214
F -1.4801 5.9257 3.6214
F 1.5203 0.9369 3.4600
F 2.8082 1.5019 1.0737
F 1.5002 4.0229 1.2175
F 0.0543 6.7153 1.2175
F 2.7338 3.3106 3.4776
F 4.3426 0.7122 3.4776
F 1.5835 5.7465 3.6214
F 2.7168 6.5793 1.2351
F 4.1848 4.2446 1.0737
F 5.8718 1.6811 1.0737
F 7.0051 0.8482 3.4600
F 4.3395 5.6425 3.4600
F 5.7885 3.4047 3.4776
```